For HfSc3Hg6, a DFT-relaxed cell (PBE, Alexandria) gives the theoretical powder diffractogram in this record (Cu Kα).

Crystal structure
Unit cell a=8.6216 b=4.9812 c=10.6972 alpha=90.00 beta=108.37 gamma=90.00
Fractional coordinates of all 20 atoms:
Hf1 0.0548 0.2500 0.4079
Hf2 0.9452 0.7500 0.5921
Sc1 0.2322 0.2500 0.0134
Sc2 0.3533 0.7500 0.7886
Sc3 0.4644 0.2500 0.6126
Sc4 0.5356 0.7500 0.3874
Sc5 0.6467 0.2500 0.2114
Sc6 0.7678 0.7500 0.9866
Hg1 0.0666 0.7500 0.8808
Hg2 0.1521 0.2500 0.7009
Hg3 0.1535 0.7500 0.1782
Hg4 0.2504 0.7500 0.4941
Hg5 0.3499 0.2500 0.3115
Hg6 0.4751 0.7500 0.0869
Hg7 0.5249 0.2500 0.9131
Hg8 0.6501 0.7500 0.6885
Hg9 0.7496 0.2500 0.5059
Hg10 0.8465 0.2500 0.8218
Hg11 0.8479 0.7500 0.2991
Hg12 0.9334 0.2500 0.1192

Largest 6 diffraction maxima, low angle first, 2θ from 10° to 90°:
| 2θ (°) | I (rel.) |
| --- | --- |
| 25.0 | 21.4 |
| 35.3 | 31.3 |
| 36.1 | 100.0 |
| 36.5 | 64.9 |
| 51.3 | 21.6 |
| 66.1 | 16.6 |



For LiAs2Os, a DFT-relaxed cell (PBE, Alexandria) gives the theoretical powder diffractogram in this record (Cu Kα).

Crystal structure
Unit cell a=3.0032 b=3.9759 c=5.1774 alpha=90.00 beta=90.00 gamma=90.00
Fractional coordinates of all 4 atoms:
Li1 0.0000 0.0000 0.0000
As1 0.0000 0.0000 0.4810
As2 0.5000 0.5000 0.8456
Os1 0.5000 0.5000 0.3221

Largest 6 diffraction maxima, low angle first, 2θ from 10° to 90°:
| 2θ (°) | I (rel.) |
| --- | --- |
| 17.1 | 70.7 |
| 22.4 | 51.0 |
| 37.5 | 100.0 |
| 41.6 | 56.3 |
| 46.3 | 41.5 |
| 52.0 | 39.5 |



For RbOsO4F, a DFT-relaxed cell (PBE, Alexandria) gives the theoretical powder diffractogram in this record (Cu Kα).

Crystal structure
Unit cell a=6.4209 b=6.4209 c=8.1420 alpha=94.85 beta=94.85 gamma=88.26
Fractional coordinates of all 14 atoms:
Rb1 0.1721 0.1721 0.1827
Rb2 0.8279 0.8279 0.8173
Os1 0.3325 0.3325 0.7450
Os2 0.6675 0.6675 0.2550
O1 0.1749 0.5083 0.8566
O2 0.2250 0.2250 0.5549
O3 0.4917 0.8251 0.1434
O4 0.4930 0.4930 0.3174
O5 0.5070 0.5070 0.6826
O6 0.5083 0.1749 0.8566
O7 0.7750 0.7750 0.4451
O8 0.8251 0.4917 0.1434
F1 0.1216 0.1216 0.8347
F2 0.8784 0.8784 0.1653

Largest 6 diffraction maxima, low angle first, 2θ from 10° to 90°:
| 2θ (°) | I (rel.) |
| --- | --- |
| 18.4 | 52.7 |
| 19.9 | 100.0 |
| 21.2 | 40.1 |
| 22.0 | 54.2 |
| 23.4 | 42.1 |
| 29.8 | 46.2 |